Simulated X-ray diffraction stick pattern of Pr2NdNi2B2N3 for Cu Kα, from a GGA-PBE-relaxed structure.
Lines closer than 0.1° are merged.

Top 10 peaks for 2θ = 10–80°, sorted by position:
hkl 1 0 3, 2θ = 27.8°, intensity 1000; hkl 1 0 5, 2θ = 33.0°, intensity 722; hkl 1 1 0, 2θ = 34.8°, intensity 387; hkl 0 0 8, 2θ = 35.3°, intensity 506; hkl 1 1 2, 2θ = 35.9°, intensity 422; hkl 1 1 4, 2θ = 39.2°, intensity 349; hkl 1 1 6, 2θ = 44.1°, intensity 294; hkl 2 0 0, 2θ = 50.0°, intensity 402; hkl 2 1 3, 2θ = 58.2°, intensity 275; hkl 2 0 8, 2θ = 62.7°, intensity 362

Structural model:
Unit cell a=3.648 b=3.648 c=20.356 alpha=90.00 beta=90.00 gamma=90.00
Space group I4/mmm (No. 139)
One atom of each set of equivalent atoms:
Pr  0.000  0.000  0.126 [4 per cell]
Nd  0.000  0.000  0.500 [2 per cell]
Ni  0.000  0.500  0.250 [4 per cell]
B  0.000  0.000  0.306 [4 per cell]
N  0.000  0.000  0.000 [2 per cell]
N  0.000  0.000  0.378 [4 per cell]


Simulated X-ray diffraction stick pattern of PrNdB2Pd2N2 for Cu Kα, from a GGA-PBE-relaxed structure.
Lines closer than 0.1° are merged.

Top 10 peaks for 2θ = 10–80°, sorted by position:
hkl 1 0 1, 2θ = 26.0°, intensity 686; hkl 1 0 2, 2θ = 33.0°, intensity 498; hkl 0 0 3, 2θ = 34.8°, intensity 499; hkl 1 1 1, 2θ = 35.2°, intensity 1000; hkl 1 1 2, 2θ = 40.8°, intensity 669; hkl 2 0 0, 2θ = 47.7°, intensity 452; hkl 2 1 1, 2θ = 55.2°, intensity 191; hkl 1 1 4, 2θ = 58.7°, intensity 254; hkl 2 1 2, 2θ = 59.2°, intensity 191; hkl 2 0 3, 2θ = 60.4°, intensity 394

Structural model:
Unit cell a=3.813 b=3.813 c=7.741 alpha=90.00 beta=90.00 gamma=90.00
Space group P4mm (No. 99)
One atom of each set of equivalent atoms:
Pr  0.000  0.000  0.000 [1 per cell]
Nd  0.500  0.500  0.670 [1 per cell]
B  0.000  0.000  0.500 [1 per cell]
B  0.500  0.500  0.169 [1 per cell]
Pd  0.000  0.500  0.335 [2 per cell]
N  0.000  0.000  0.683 [1 per cell]
N  0.500  0.500  0.985 [1 per cell]


Simulated X-ray diffraction stick pattern of PrNd2B2N4 for Cu Kα, from a GGA-PBE-relaxed structure.
Lines closer than 0.1° are merged.

Top 10 peaks for 2θ = 10–80°, sorted by position:
hkl 1 0 1, 2θ = 26.4°, intensity 168; hkl 0 2 0, 2θ = 28.3°, intensity 345; hkl 0 1 3, 2θ = 28.5°, intensity 639; hkl 1 1 2, 2θ = 33.4°, intensity 1000; hkl 1 2 1, 2θ = 39.1°, intensity 311; hkl 1 0 5, 2θ = 49.4°, intensity 227; hkl 0 3 3, 2θ = 50.3°, intensity 155; hkl 1 3 2, 2θ = 53.5°, intensity 234; hkl 1 2 5, 2θ = 57.9°, intensity 217; hkl 2 1 3, 2θ = 59.9°, intensity 160

Structural model:
Unit cell a=3.549 b=6.298 c=10.809 alpha=90.00 beta=90.00 gamma=90.00
Space group Immm (No. 71)
One atom of each set of equivalent atoms:
Pr  0.000  0.000  0.000 [2 per cell]
Nd  0.000  0.500  0.202 [4 per cell]
B  0.000  0.143  0.500 [4 per cell]
N  0.000  0.256  0.381 [8 per cell]


Simulated X-ray diffraction stick pattern of YTmNi2B2N2 for Cu Kα, from a GGA-PBE-relaxed structure.
Lines closer than 0.1° are merged.

Top 10 peaks for 2θ = 10–80°, sorted by position:
hkl 1 0 1, 2θ = 28.3°, intensity 1000; hkl 1 0 2, 2θ = 35.2°, intensity 715; hkl 0 0 3, 2θ = 35.9°, intensity 582; hkl 1 1 1, 2θ = 38.6°, intensity 917; hkl 1 1 2, 2θ = 44.1°, intensity 649; hkl 2 0 0, 2θ = 52.7°, intensity 433; hkl 2 1 1, 2θ = 60.9°, intensity 254; hkl 1 1 4, 2θ = 62.3°, intensity 241; hkl 2 1 2, 2θ = 65.0°, intensity 248; hkl 2 0 3, 2θ = 65.5°, intensity 379

Structural model:
Unit cell a=3.471 b=3.471 c=7.499 alpha=90.00 beta=90.00 gamma=90.00
Space group P4mm (No. 99)
One atom of each set of equivalent atoms:
Y  0.000  0.000  0.000 [1 per cell]
Tm  0.500  0.500  0.666 [1 per cell]
Ni  0.000  0.500  0.333 [2 per cell]
B  0.000  0.000  0.494 [1 per cell]
B  0.500  0.500  0.170 [1 per cell]
N  0.000  0.000  0.689 [1 per cell]
N  0.500  0.500  0.974 [1 per cell]


Simulated X-ray diffraction stick pattern of PmBNO for Cu Kα, from a GGA-PBE-relaxed structure.
Lines closer than 0.1° are merged.

Top 10 peaks for 2θ = 10–80°, sorted by position:
hkl 1 0 0, 2θ = 11.9°, intensity 482; hkl 1 1 1, 2θ = 26.7°, intensity 828; hkl 0 2 0, 2θ = 33.7°, intensity 330; hkl 0 0 2, 2θ = 34.0°, intensity 1000; hkl 3 0 0, 2θ = 36.4°, intensity 218; hkl 0 2 2, 2θ = 48.7°, intensity 223; hkl 3 2 0, 2θ = 50.4°, intensity 159; hkl 3 0 2, 2θ = 50.7°, intensity 164; hkl 2 1 3, 2θ = 60.9°, intensity 172; hkl 3 2 2, 2θ = 62.3°, intensity 165

Structural model:
Unit cell a=7.412 b=5.312 c=5.270 alpha=90.00 beta=90.00 gamma=90.00
Space group Pbcm (No. 57)
One atom of each set of equivalent atoms:
Pm  0.154  0.006  0.250 [4 per cell]
B  0.371  0.524  0.250 [4 per cell]
N  0.188  0.506  0.250 [4 per cell]
O  0.461  0.065  0.250 [4 per cell]


Simulated X-ray diffraction stick pattern of TcBNO for Cu Kα, from a GGA-PBE-relaxed structure.
Lines closer than 0.1° are merged.

Top 10 peaks for 2θ = 10–80°, sorted by position:
hkl 0 1 0, 2θ = 13.9°, intensity 1000; hkl 1 1 1, 2θ = 30.8°, intensity 148; hkl 1 2 0, 2θ = 33.9°, intensity 122; hkl 2 0 0, 2θ = 37.7°, intensity 139; hkl 1 2 1, 2θ = 39.5°, intensity 351; hkl 0 0 2, 2θ = 40.2°, intensity 217; hkl 0 1 2, 2θ = 42.7°, intensity 173; hkl 2 0 1, 2θ = 43.0°, intensity 128; hkl 2 1 1, 2θ = 45.4°, intensity 189; hkl 1 3 1, 2θ = 51.4°, intensity 320

Structural model:
Unit cell a=4.767 b=6.361 c=4.488 alpha=90.00 beta=90.00 gamma=90.00
Space group Pca2_1 (No. 29)
One atom of each set of equivalent atoms:
Tc  0.069  0.085  0.000 [4 per cell]
B  0.104  0.579  0.980 [4 per cell]
N  0.094  0.590  0.622 [4 per cell]
O  0.034  0.219  0.585 [4 per cell]


Simulated X-ray diffraction stick pattern of SmYB2Pd2N2 for Cu Kα, from a GGA-PBE-relaxed structure.
Lines closer than 0.1° are merged.

Top 10 peaks for 2θ = 10–80°, sorted by position:
hkl 0 0 1, 2θ = 11.6°, intensity 283; hkl 1 0 1, 2θ = 26.6°, intensity 508; hkl 1 0 2, 2θ = 33.5°, intensity 392; hkl 0 0 3, 2θ = 35.2°, intensity 458; hkl 1 1 1, 2θ = 36.0°, intensity 1000; hkl 1 1 2, 2θ = 41.5°, intensity 633; hkl 2 0 0, 2θ = 48.8°, intensity 406; hkl 1 1 4, 2θ = 59.7°, intensity 262; hkl 2 1 2, 2θ = 60.5°, intensity 156; hkl 2 0 3, 2θ = 61.5°, intensity 349

Structural model:
Unit cell a=3.735 b=3.735 c=7.656 alpha=90.00 beta=90.00 gamma=90.00
Space group P4mm (No. 99)
One atom of each set of equivalent atoms:
Sm  0.000  0.000  0.000 [1 per cell]
Y  0.500  0.500  0.673 [1 per cell]
B  0.000  0.000  0.506 [1 per cell]
B  0.500  0.500  0.163 [1 per cell]
Pd  0.000  0.500  0.337 [2 per cell]
N  0.000  0.000  0.692 [1 per cell]
N  0.500  0.500  0.976 [1 per cell]


Simulated X-ray diffraction stick pattern of TbY2B2Pd2N3 for Cu Kα, from a GGA-PBE-relaxed structure.
Lines closer than 0.1° are merged.

Top 10 peaks for 2θ = 10–80°, sorted by position:
hkl 0 0 4, 2θ = 17.5°, intensity 305; hkl 1 0 3, 2θ = 27.8°, intensity 625; hkl 1 0 5, 2θ = 33.0°, intensity 654; hkl 0 0 8, 2θ = 35.3°, intensity 540; hkl 1 1 2, 2θ = 35.9°, intensity 1000; hkl 1 1 4, 2θ = 39.2°, intensity 316; hkl 1 1 6, 2θ = 44.1°, intensity 428; hkl 2 0 0, 2θ = 50.0°, intensity 450; hkl 1 1 10, 2θ = 57.8°, intensity 363; hkl 2 0 8, 2θ = 62.7°, intensity 388

Structural model:
Unit cell a=3.647 b=3.647 c=20.326 alpha=90.00 beta=90.00 gamma=90.00
Space group I4/mmm (No. 139)
One atom of each set of equivalent atoms:
Tb  0.000  0.000  0.000 [2 per cell]
Y  0.000  0.000  0.381 [4 per cell]
B  0.000  0.000  0.185 [4 per cell]
Pd  0.000  0.500  0.250 [4 per cell]
N  0.000  0.000  0.114 [4 per cell]
N  0.000  0.000  0.500 [2 per cell]


Simulated X-ray diffraction stick pattern of YTmB2Pd2N2 for Cu Kα, from a GGA-PBE-relaxed structure.
Lines closer than 0.1° are merged.

Top 10 peaks for 2θ = 10–80°, sorted by position:
hkl 0 0 1, 2θ = 11.7°, intensity 264; hkl 1 0 1, 2θ = 26.9°, intensity 569; hkl 1 0 2, 2θ = 33.9°, intensity 432; hkl 0 0 3, 2θ = 35.5°, intensity 459; hkl 1 1 1, 2θ = 36.4°, intensity 1000; hkl 1 1 2, 2θ = 42.0°, intensity 611; hkl 2 0 0, 2θ = 49.4°, intensity 402; hkl 1 1 4, 2θ = 60.3°, intensity 266; hkl 2 1 2, 2θ = 61.3°, intensity 161; hkl 2 0 3, 2θ = 62.3°, intensity 347

Structural model:
Unit cell a=3.687 b=3.687 c=7.589 alpha=90.00 beta=90.00 gamma=90.00
Space group P4mm (No. 99)
One atom of each set of equivalent atoms:
Y  0.000  0.000  0.000 [1 per cell]
Tm  0.500  0.500  0.676 [1 per cell]
B  0.000  0.000  0.512 [1 per cell]
B  0.500  0.500  0.161 [1 per cell]
Pd  0.000  0.500  0.339 [2 per cell]
N  0.000  0.000  0.700 [1 per cell]
N  0.500  0.500  0.973 [1 per cell]


Simulated X-ray diffraction stick pattern of SmBN2 for Cu Kα, from a GGA-PBE-relaxed structure.
Lines closer than 0.1° are merged.

Top 10 peaks for 2θ = 10–80°, sorted by position:
hkl 1 1 0, 2θ = 14.8°, intensity 681; hkl 2 1 1, 2θ = 26.2°, intensity 310; hkl 2 2 0, 2θ = 29.8°, intensity 523; hkl 2 0 2, 2θ = 31.5°, intensity 1000; hkl 1 3 1, 2θ = 33.8°, intensity 807; hkl 3 1 2, 2θ = 41.1°, intensity 202; hkl 5 1 1, 2θ = 50.8°, intensity 391; hkl 4 1 3, 2θ = 57.6°, intensity 267; hkl 3 3 3, 2θ = 62.0°, intensity 204; hkl 3 5 1, 2θ = 64.3°, intensity 219

Structural model:
Unit cell a=11.9933 b=11.9933 c=6.7856 alpha=90.00 beta=90.00 gamma=120.00
Space group R3c (No. 161, hexagonal axes)
One atom of each set of equivalent atoms:
Sm  0.0006  0.4546  0.0000 [18 per cell]
B  0.9999  0.1206  0.0016 [18 per cell]
N  0.0001  0.1238  0.5021 [18 per cell]
N  0.0001  0.2436  0.0006 [18 per cell]


Simulated X-ray diffraction stick pattern of Tm2B4N for Cu Kα, from a GGA-PBE-relaxed structure.
Lines closer than 0.1° are merged.

Top 10 peaks for 2θ = 10–80°, sorted by position:
hkl 0 0 2, 2θ = 24.3°, intensity 550; hkl 0 2 0, 2θ = 27.9°, intensity 563; hkl 1 1 0, 2θ = 31.1°, intensity 744; hkl 0 2 2, 2θ = 37.3°, intensity 534; hkl 1 1 2, 2θ = 39.9°, intensity 1000; hkl 1 3 0, 2θ = 51.3°, intensity 226; hkl 0 4 0, 2θ = 57.6°, intensity 370; hkl 1 1 4, 2θ = 59.9°, intensity 202; hkl 2 2 2, 2θ = 70.3°, intensity 170; hkl 1 3 4, 2θ = 74.4°, intensity 129

Structural model:
Unit cell a=3.221 b=6.406 c=7.316 alpha=90.00 beta=90.00 gamma=90.00
Space group Immm (No. 71)
One atom of each set of equivalent atoms:
Tm  0.000  0.000  0.234 [4 per cell]
B  0.000  0.270  0.500 [4 per cell]
B  0.000  0.360  0.000 [4 per cell]
N  0.000  0.500  0.500 [2 per cell]


Simulated X-ray diffraction stick pattern of Tm4B3N4 for Cu Kα, from a GGA-PBE-relaxed structure.
Lines closer than 0.1° are merged.

Top 10 peaks for 2θ = 10–80°, sorted by position:
hkl 0 1 1, 2θ = 27.2°, intensity 725; hkl 1 0 2, 2θ = 29.4°, intensity 498; hkl 0 0 4, 2θ = 31.2°, intensity 685; hkl 1 0 -2, 2θ = 33.4°, intensity 559; hkl 0 1 3, 2θ = 35.2°, intensity 829; hkl 1 -1 1, 2θ = 38.0°, intensity 1000; hkl -1 1 3, 2θ = 47.2°, intensity 268; hkl 1 -1 5, 2θ = 52.7°, intensity 407; hkl 0 1 7, 2θ = 62.9°, intensity 325; hkl 2 1 4, 2θ = 67.5°, intensity 291

Structural model:
Unit cell a=3.308 b=3.427 c=11.567 alpha=89.92 beta=81.84 gamma=90.00
Space group P-1 (No. 2)
One atom of each set of equivalent atoms:
Tm  0.071  0.000  0.358 [2 per cell]
Tm  0.321  0.500  0.857 [2 per cell]
B  0.232  0.000  0.035 [2 per cell]
B  0.500  0.500  0.500 [1 per cell]
N  0.167  0.999  0.167 [2 per cell]
N  0.435  0.500  0.630 [2 per cell]